Record 1
The following is a computed powder X-ray diffraction pattern of RbTh4Se8. It was derived from a PBE-relaxed structure, using Cu Kα X-rays.
Intensities are scaled so that the largest is 100.

Top 10 peaks for 2θ from 15° to 90°, by angle:
- 2θ = 25.00°, d 3.562, rel. 26
- 2θ = 25.48°, d 3.496, rel. 25
- 2θ = 26.88°, d 3.317, rel. 49
- 2θ = 31.90°, d 2.805, rel. 100
- 2θ = 38.99°, d 2.310, rel. 46
- 2θ = 44.03°, d 2.056, rel. 36
- 2θ = 45.20°, d 2.006, rel. 27
- 2θ = 47.40°, d 1.918, rel. 19
- 2θ = 55.40°, d 1.659, rel. 21
- 2θ = 73.33°, d 1.291, rel. 19

Structural model:
Unit cell a=8.226 b=8.226 c=18.211 alpha=90.00 beta=90.00 gamma=120.00
Fractional positions:
1 Rb 0.000 0.000 0.000
2 Rb 0.000 0.000 0.500
3 Th 0.000 0.000 0.250
4 Th 0.000 0.000 0.750
5 Th 0.005 0.503 0.250
6 Th 0.497 0.503 0.250
7 Th 0.497 0.995 0.250
8 Th 0.503 0.005 0.750
9 Th 0.503 0.497 0.750
10 Th 0.995 0.497 0.750
11 Se 0.164 0.328 0.152
12 Se 0.164 0.328 0.348
13 Se 0.164 0.836 0.152
14 Se 0.164 0.836 0.348
15 Se 0.328 0.164 0.652
16 Se 0.328 0.164 0.848
17 Se 0.333 0.667 0.654
18 Se 0.333 0.667 0.846
19 Se 0.667 0.333 0.154
20 Se 0.667 0.333 0.346
21 Se 0.672 0.836 0.152
22 Se 0.672 0.836 0.348
23 Se 0.836 0.164 0.652
24 Se 0.836 0.164 0.848
25 Se 0.836 0.672 0.652
26 Se 0.836 0.672 0.848



Record 2
The following is a computed powder X-ray diffraction pattern of Rb3TiSe3. It was derived from a PBE-relaxed structure, using Cu Kα X-rays.
Intensities are scaled so that the largest is 100.

Top 10 peaks for 2θ from 15° to 90°, by angle:
- 2θ = 25.51°, d 3.491, rel. 100
- 2θ = 25.74°, d 3.461, rel. 12
- 2θ = 28.79°, d 3.101, rel. 29
- 2θ = 30.24°, d 2.956, rel. 34
- 2θ = 32.81°, d 2.729, rel. 39
- 2θ = 33.00°, d 2.714, rel. 9
- 2θ = 33.95°, d 2.641, rel. 22
- 2θ = 43.14°, d 2.097, rel. 20
- 2θ = 46.97°, d 1.935, rel. 12
- 2θ = 52.91°, d 1.730, rel. 12

Structural model:
Unit cell a=8.338 b=8.338 c=8.351 alpha=98.33 beta=98.33 gamma=113.68
Fractional positions:
1 Rb 0.174 0.826 0.000
2 Rb 0.270 0.730 0.500
3 Rb 0.390 0.390 0.140
4 Rb 0.610 0.610 0.860
5 Rb 0.730 0.270 0.500
6 Rb 0.826 0.174 0.000
7 Ti 0.149 0.149 0.637
8 Ti 0.851 0.851 0.363
9 Se 0.115 0.115 0.330
10 Se 0.141 0.426 0.771
11 Se 0.426 0.141 0.771
12 Se 0.574 0.859 0.229
13 Se 0.859 0.574 0.229
14 Se 0.885 0.885 0.670



Record 3
The following is a computed powder X-ray diffraction pattern of Rb8TiSe6. It was derived from a PBE-relaxed structure, using Cu Kα X-rays.
Intensities are scaled so that the largest is 100.

Top 10 peaks for 2θ from 15° to 90°, by angle:
- 2θ = 22.11°, d 4.020, rel. 38
- 2θ = 25.20°, d 3.534, rel. 30
- 2θ = 27.11°, d 3.289, rel. 26
- 2θ = 27.73°, d 3.217, rel. 33
- 2θ = 28.12°, d 3.173, rel. 31
- 2θ = 29.85°, d 2.993, rel. 100
- 2θ = 31.23°, d 2.864, rel. 55
- 2θ = 31.90°, d 2.805, rel. 32
- 2θ = 32.51°, d 2.754, rel. 30
- 2θ = 36.79°, d 2.443, rel. 39

Structural model:
Unit cell a=9.772 b=8.969 c=14.143 alpha=90.00 beta=90.00 gamma=90.00
Fractional positions:
1 Rb 0.000 0.026 0.072
2 Rb 0.000 0.135 0.618
3 Rb 0.197 0.484 0.764
4 Rb 0.228 0.668 0.500
5 Rb 0.231 0.927 0.819
6 Rb 0.269 0.073 0.319
7 Rb 0.272 0.332 0.000
8 Rb 0.303 0.516 0.264
9 Rb 0.500 0.865 0.118
10 Rb 0.500 0.974 0.572
11 Rb 0.697 0.516 0.264
12 Rb 0.728 0.332 0.000
13 Rb 0.731 0.073 0.319
14 Rb 0.769 0.927 0.819
15 Rb 0.772 0.668 0.500
16 Rb 0.803 0.484 0.764
17 Ti 0.000 0.639 0.127
18 Ti 0.500 0.361 0.627
19 Se 0.000 0.202 0.859
20 Se 0.000 0.377 0.170
21 Se 0.000 0.766 0.667
22 Se 0.000 0.782 0.273
23 Se 0.202 0.702 0.036
24 Se 0.298 0.298 0.536
25 Se 0.500 0.218 0.773
26 Se 0.500 0.234 0.167
27 Se 0.500 0.623 0.670
28 Se 0.500 0.798 0.359
29 Se 0.702 0.298 0.536
30 Se 0.798 0.702 0.036



Record 4
The following is a computed powder X-ray diffraction pattern of RbTiSe2. It was derived from a PBE-relaxed structure, using Cu Kα X-rays.
Intensities are scaled so that the largest is 100.

Top 10 peaks for 2θ from 15° to 90°, by angle:
- 2θ = 24.77°, d 3.595, rel. 26
- 2θ = 24.90°, d 3.576, rel. 60
- 2θ = 27.67°, d 3.224, rel. 100
- 2θ = 28.57°, d 3.125, rel. 24
- 2θ = 30.07°, d 2.972, rel. 24
- 2θ = 32.20°, d 2.780, rel. 33
- 2θ = 36.43°, d 2.466, rel. 32
- 2θ = 43.95°, d 2.060, rel. 16
- 2θ = 46.93°, d 1.936, rel. 19
- 2θ = 51.03°, d 1.790, rel. 17

Structural model:
Unit cell a=7.764 b=12.499 c=6.120 alpha=90.00 beta=113.69 gamma=90.00
Fractional positions:
1 Rb 0.000 0.145 0.250
2 Rb 0.000 0.855 0.750
3 Rb 0.500 0.355 0.750
4 Rb 0.500 0.645 0.250
5 Ti 0.000 0.496 0.750
6 Ti 0.000 0.504 0.250
7 Ti 0.500 0.004 0.250
8 Ti 0.500 0.996 0.750
9 Se 0.198 0.393 0.109
10 Se 0.198 0.607 0.609
11 Se 0.302 0.107 0.891
12 Se 0.302 0.893 0.391
13 Se 0.698 0.107 0.609
14 Se 0.698 0.893 0.109
15 Se 0.802 0.393 0.391
16 Se 0.802 0.607 0.891



Record 5
The following is a computed powder X-ray diffraction pattern of Rb3Tl4Se4. It was derived from a PBE-relaxed structure, using Cu Kα X-rays.
Intensities are scaled so that the largest is 100.

Top 10 peaks for 2θ from 15° to 90°, by angle:
- 2θ = 25.01°, d 3.560, rel. 52
- 2θ = 27.02°, d 3.300, rel. 75
- 2θ = 28.73°, d 3.107, rel. 51
- 2θ = 30.67°, d 2.915, rel. 100
- 2θ = 31.37°, d 2.852, rel. 40
- 2θ = 39.55°, d 2.279, rel. 31
- 2θ = 39.85°, d 2.262, rel. 51
- 2θ = 40.40°, d 2.233, rel. 31
- 2θ = 49.61°, d 1.837, rel. 23
- 2θ = 57.82°, d 1.595, rel. 22

Structural model:
Unit cell a=12.429 b=7.531 c=7.531 alpha=35.22 beta=90.00 gamma=90.00
Fractional positions:
1 Rb 0.000 0.000 0.000
2 Rb 0.334 0.063 0.063
3 Rb 0.666 0.063 0.063
4 Tl 0.000 0.305 0.305
5 Tl 0.246 0.763 0.763
6 Tl 0.500 0.341 0.341
7 Tl 0.754 0.763 0.763
8 Se 0.000 0.677 0.677
9 Se 0.234 0.401 0.401
10 Se 0.500 0.698 0.698
11 Se 0.766 0.401 0.401



Record 6
The following is a computed powder X-ray diffraction pattern of RbTlSe. It was derived from a PBE-relaxed structure, using Cu Kα X-rays.
Intensities are scaled so that the largest is 100.

Top 10 peaks for 2θ from 15° to 90°, by angle:
- 2θ = 22.65°, d 3.926, rel. 32
- 2θ = 23.50°, d 3.786, rel. 100
- 2θ = 28.74°, d 3.107, rel. 55
- 2θ = 29.38°, d 3.040, rel. 30
- 2θ = 29.53°, d 3.025, rel. 29
- 2θ = 30.71°, d 2.911, rel. 71
- 2θ = 32.94°, d 2.720, rel. 36
- 2θ = 34.81°, d 2.577, rel. 32
- 2θ = 34.98°, d 2.565, rel. 32
- 2θ = 37.68°, d 2.388, rel. 41

Structural model:
Unit cell a=4.775 b=6.783 c=8.019 alpha=66.35 beta=89.74 gamma=89.75
Fractional positions:
1 Rb 0.247 0.208 0.104
2 Rb 0.753 0.792 0.896
3 Tl 0.251 0.245 0.573
4 Tl 0.749 0.755 0.427
5 Se 0.251 0.646 0.234
6 Se 0.749 0.354 0.766



Record 7
The following is a computed powder X-ray diffraction pattern of RbTlSe2. It was derived from a PBE-relaxed structure, using Cu Kα X-rays.
Intensities are scaled so that the largest is 100.

Top 10 peaks for 2θ from 15° to 90°, by angle:
- 2θ = 24.27°, d 3.668, rel. 100
- 2θ = 29.59°, d 3.019, rel. 65
- 2θ = 33.30°, d 2.690, rel. 100
- 2θ = 41.63°, d 2.169, rel. 24
- 2θ = 42.68°, d 2.118, rel. 49
- 2θ = 45.14°, d 2.009, rel. 21
- 2θ = 54.33°, d 1.689, rel. 22
- 2θ = 55.19°, d 1.664, rel. 23
- 2θ = 57.24°, d 1.609, rel. 21
- 2θ = 66.00°, d 1.415, rel. 27

Structural model:
Unit cell a=11.892 b=5.382 c=9.316 alpha=90.00 beta=90.00 gamma=90.00
Fractional positions:
1 Rb 0.000 0.250 0.249
2 Rb 0.000 0.750 0.751
3 Rb 0.500 0.250 0.251
4 Rb 0.500 0.750 0.749
5 Tl 0.249 0.250 0.583
6 Tl 0.251 0.750 0.083
7 Tl 0.749 0.250 0.917
8 Tl 0.751 0.750 0.417
9 Se 0.148 0.750 0.417
10 Se 0.150 0.250 0.917
11 Se 0.350 0.750 0.417
12 Se 0.352 0.250 0.917
13 Se 0.648 0.750 0.083
14 Se 0.650 0.250 0.583
15 Se 0.850 0.750 0.083
16 Se 0.852 0.250 0.583



Record 8
The following is a computed powder X-ray diffraction pattern of RbTlSe2. It was derived from a PBE-relaxed structure, using Cu Kα X-rays.
Intensities are scaled so that the largest is 100.

Top 10 peaks for 2θ from 15° to 90°, by angle:
- 2θ = 22.97°, d 3.872, rel. 22
- 2θ = 23.50°, d 3.786, rel. 52
- 2θ = 24.88°, d 3.579, rel. 100
- 2θ = 30.56°, d 2.925, rel. 32
- 2θ = 34.74°, d 2.582, rel. 25
- 2θ = 36.66°, d 2.452, rel. 17
- 2θ = 39.80°, d 2.265, rel. 44
- 2θ = 42.37°, d 2.133, rel. 22
- 2θ = 43.29°, d 2.090, rel. 39
- 2θ = 46.94°, d 1.936, rel. 17

Structural model:
Unit cell a=7.673 b=7.164 c=7.804 alpha=61.51 beta=55.14 gamma=63.35
Fractional positions:
1 Rb 0.000 0.000 0.000
2 Rb 0.250 0.250 0.250
3 Tl 0.553 0.553 0.447
4 Tl 0.803 0.803 0.697
5 Se 0.206 0.691 0.372
6 Se 0.519 0.878 0.559
7 Se 0.691 0.206 0.731
8 Se 0.878 0.519 0.044



Record 9
The following is a computed powder X-ray diffraction pattern of RbTlSe2. It was derived from a PBE-relaxed structure, using Cu Kα X-rays.
Intensities are scaled so that the largest is 100.

Top 10 peaks for 2θ from 15° to 90°, by angle:
- 2θ = 17.60°, d 5.040, rel. 17
- 2θ = 23.82°, d 3.736, rel. 35
- 2θ = 24.30°, d 3.663, rel. 67
- 2θ = 24.77°, d 3.594, rel. 100
- 2θ = 33.08°, d 2.708, rel. 92
- 2θ = 33.61°, d 2.667, rel. 49
- 2θ = 36.13°, d 2.486, rel. 24
- 2θ = 36.79°, d 2.443, rel. 31
- 2θ = 50.81°, d 1.797, rel. 18
- 2θ = 59.76°, d 1.548, rel. 17

Structural model:
Unit cell a=5.820 b=5.334 c=9.437 alpha=90.00 beta=92.28 gamma=90.00
Fractional positions:
1 Rb 0.000 0.000 0.000
2 Rb 0.498 0.000 0.344
3 Tl 0.031 0.500 0.488
4 Tl 0.525 0.500 0.818
5 Se 0.286 0.000 0.687
6 Se 0.344 0.500 0.128
7 Se 0.758 0.500 0.183
8 Se 0.872 0.000 0.639



Record 10
The following is a computed powder X-ray diffraction pattern of RbTlSe. It was derived from a PBE-relaxed structure, using Cu Kα X-rays.
Intensities are scaled so that the largest is 100.

Top 10 peaks for 2θ from 15° to 90°, by angle:
- 2θ = 24.86°, d 3.582, rel. 46
- 2θ = 25.81°, d 3.452, rel. 47
- 2θ = 26.14°, d 3.409, rel. 34
- 2θ = 27.65°, d 3.226, rel. 94
- 2θ = 27.84°, d 3.205, rel. 34
- 2θ = 31.13°, d 2.873, rel. 46
- 2θ = 33.13°, d 2.704, rel. 39
- 2θ = 33.60°, d 2.667, rel. 100
- 2θ = 34.44°, d 2.604, rel. 39
- 2θ = 38.05°, d 2.365, rel. 49

Structural model:
Unit cell a=13.871 b=4.730 c=7.239 alpha=90.00 beta=107.48 gamma=90.00
Fractional positions:
1 Rb 0.000 0.000 0.000
2 Rb 0.145 0.500 0.601
3 Rb 0.500 0.500 0.000
4 Rb 0.645 0.000 0.601
5 Tl 0.317 0.000 0.104
6 Tl 0.388 0.500 0.458
7 Tl 0.817 0.500 0.104
8 Tl 0.888 0.000 0.458
9 Se 0.187 0.500 0.120
10 Se 0.337 0.000 0.677
11 Se 0.687 0.000 0.120
12 Se 0.837 0.500 0.677



Record 11
The following is a computed powder X-ray diffraction pattern of Rb3Tl2Se3. It was derived from a PBE-relaxed structure, using Cu Kα X-rays.
Intensities are scaled so that the largest is 100.

Top 10 peaks for 2θ from 15° to 90°, by angle:
- 2θ = 24.77°, d 3.594, rel. 25
- 2θ = 25.88°, d 3.443, rel. 19
- 2θ = 26.41°, d 3.375, rel. 39
- 2θ = 28.38°, d 3.145, rel. 19
- 2θ = 30.28°, d 2.951, rel. 100
- 2θ = 31.21°, d 2.865, rel. 31
- 2θ = 33.59°, d 2.668, rel. 15
- 2θ = 36.97°, d 2.431, rel. 28
- 2θ = 39.23°, d 2.297, rel. 14
- 2θ = 49.13°, d 1.854, rel. 20

Structural model:
Unit cell a=7.708 b=7.708 c=17.193 alpha=90.00 beta=90.00 gamma=143.23
Fractional positions:
1 Rb 0.057 0.943 0.608
2 Rb 0.057 0.943 0.892
3 Rb 0.327 0.673 0.750
4 Rb 0.673 0.327 0.250
5 Rb 0.943 0.057 0.108
6 Rb 0.943 0.057 0.392
7 Tl 0.244 0.756 0.086
8 Tl 0.244 0.756 0.414
9 Tl 0.756 0.244 0.586
10 Tl 0.756 0.244 0.914
11 Se 0.336 0.664 0.250
12 Se 0.376 0.624 0.555
13 Se 0.376 0.624 0.945
14 Se 0.624 0.376 0.055
15 Se 0.624 0.376 0.445
16 Se 0.664 0.336 0.750



Record 12
The following is a computed powder X-ray diffraction pattern of RbTl6Se4. It was derived from a PBE-relaxed structure, using Cu Kα X-rays.
Intensities are scaled so that the largest is 100.

Top 10 peaks for 2θ from 15° to 90°, by angle:
- 2θ = 21.19°, d 4.193, rel. 100
- 2θ = 26.84°, d 3.322, rel. 87
- 2θ = 27.58°, d 3.234, rel. 69
- 2θ = 27.88°, d 3.200, rel. 71
- 2θ = 30.82°, d 2.901, rel. 82
- 2θ = 34.14°, d 2.626, rel. 98
- 2θ = 35.05°, d 2.560, rel. 82
- 2θ = 35.64°, d 2.519, rel. 74
- 2θ = 38.83°, d 2.319, rel. 60
- 2θ = 52.64°, d 1.739, rel. 39

Structural model:
Unit cell a=7.304 b=7.560 c=8.719 alpha=115.67 beta=114.73 gamma=90.03
Fractional positions:
1 Rb 0.000 0.000 0.000
2 Tl 0.000 0.500 0.000
3 Tl 0.156 0.136 0.670
4 Tl 0.485 0.864 0.329
5 Tl 0.500 0.001 0.000
6 Tl 0.516 0.535 0.670
7 Tl 0.846 0.465 0.330
8 Se 0.126 0.579 0.743
9 Se 0.382 0.421 0.256
10 Se 0.618 0.164 0.742
11 Se 0.876 0.836 0.258